[1]
Diffraction record for BaIn2Au2. The powder diffractogram is calculated, not measured: it uses a structure optimized by DFT (GGA-PBE) and Cu Kα (weighted mean of Kα1 and Kα2).

a = 8.8834 Å, b = 4.7796 Å, c = 12.5179 Å
α = 90.00°, β = 90.00°, γ = 90.00°
Atoms (fractional coordinates):
1 Ba 0.2204 0.2500 0.1663
2 Ba 0.2796 0.7500 0.6663
3 Ba 0.7204 0.2500 0.3337
4 Ba 0.7796 0.7500 0.8337
5 In 0.1020 0.2500 0.4507
6 In 0.1410 0.2500 0.8579
7 In 0.3590 0.7500 0.3579
8 In 0.3980 0.7500 0.9507
9 In 0.6020 0.2500 0.0493
10 In 0.6410 0.2500 0.6421
11 In 0.8590 0.7500 0.1421
12 In 0.8980 0.7500 0.5493
13 Au 0.0261 0.7500 0.3358
14 Au 0.0901 0.7500 0.9790
15 Au 0.4099 0.2500 0.4790
16 Au 0.4739 0.2500 0.8358
17 Au 0.5261 0.7500 0.1642
18 Au 0.5901 0.7500 0.5210
19 Au 0.9099 0.2500 0.0210
20 Au 0.9739 0.2500 0.6642

Most intense lines, 2θ = 15–90°, by angle:
- 23.56 deg, rel. 24.9
- 28.35 deg, rel. 46.0
- 30.16 deg, rel. 100.0
- 33.48 deg, rel. 31.3
- 36.41 deg, rel. 30.9
- 37.24 deg, rel. 22.5
- 37.64 deg, rel. 54.9
- 40.68 deg, rel. 26.9
- 41.92 deg, rel. 22.1
- 45.73 deg, rel. 25.0



[2]
Diffraction record for Co17Sn. The powder diffractogram is calculated, not measured: it uses a structure optimized by DFT (GGA-PBE) and Cu Kα (weighted mean of Kα1 and Kα2).

a = 4.2770 Å, b = 4.9497 Å, c = 30.8796 Å
α = 90.00°, β = 90.11°, γ = 90.00°
Atoms (fractional coordinates):
1 Co 0.0000 0.0000 0.0000
2 Co 0.0000 0.5000 0.1956
3 Co 0.0008 0.0000 0.3914
4 Co 0.1653 0.2499 0.2607
5 Co 0.1653 0.7501 0.2607
6 Co 0.1657 0.2506 0.0655
7 Co 0.1662 0.2572 0.4554
8 Co 0.1662 0.7428 0.4554
9 Co 0.1657 0.7494 0.0655
10 Co 0.3301 0.0000 0.3256
11 Co 0.3319 0.5000 0.1307
12 Co 0.3327 0.0000 0.1306
13 Co 0.3336 0.0000 0.9359
14 Co 0.3336 0.5000 0.3266
15 Co 0.4965 0.2533 0.9993
16 Co 0.4965 0.7467 0.9993
17 Co 0.4991 0.2500 0.1957
18 Co 0.4991 0.7500 0.1957
19 Co 0.5017 0.2467 0.3918
20 Co 0.5017 0.7533 0.3918
21 Co 0.6646 0.0000 0.0646
22 Co 0.6655 0.5000 0.2607
23 Co 0.6645 0.5000 0.4552
24 Co 0.6663 0.0000 0.2606
25 Co 0.6680 0.5000 0.0655
26 Co 0.8320 0.2426 0.9357
27 Co 0.8320 0.7574 0.9357
28 Co 0.8325 0.2493 0.3256
29 Co 0.8329 0.2501 0.1307
30 Co 0.8329 0.7499 0.1307
31 Co 0.8325 0.7507 0.3256
32 Co 0.9973 0.5000 0.9997
33 Co 0.9981 0.0000 0.1959
34 Co 0.9981 0.5000 0.3910
35 Sn 0.3313 0.5000 0.9107
36 Sn 0.6670 0.0000 0.4807

Most intense lines, 2θ = 15–90°, by angle:
- 43.88 deg, rel. 25.6
- 43.98 deg, rel. 25.8
- 44.81 deg, rel. 100.0
- 45.91 deg, rel. 27.1
- 47.09 deg, rel. 13.3
- 50.19 deg, rel. 9.9
- 51.93 deg, rel. 37.0
- 52.07 deg, rel. 18.0
- 53.80 deg, rel. 12.7
- 77.25 deg, rel. 18.0



[3]
Diffraction record for Tl5Au4. The powder diffractogram is calculated, not measured: it uses a structure optimized by DFT (GGA-PBE) and Cu Kα (weighted mean of Kα1 and Kα2).

a = 15.5151 Å, b = 14.9289 Å, c = 5.9441 Å
α = 84.35°, β = 73.24°, γ = 22.41°
Atoms (fractional coordinates):
1 Tl 0.0949 0.0949 0.9051
2 Tl 0.1794 0.4821 0.5179
3 Tl 0.2083 0.2083 0.7917
4 Tl 0.3172 0.6828 0.3172
5 Tl 0.4821 0.1794 0.8206
6 Tl 0.5179 0.8206 0.1794
7 Tl 0.6828 0.3172 0.6828
8 Tl 0.7917 0.7917 0.2083
9 Tl 0.8206 0.5179 0.4821
10 Tl 0.9051 0.9051 0.0949
11 Au 0.0875 0.0875 0.4125
12 Au 0.2500 0.2500 0.2500
13 Au 0.4125 0.4125 0.0875
14 Au 0.4247 0.4247 0.5753
15 Au 0.5753 0.5753 0.4247
16 Au 0.5875 0.5875 0.9125
17 Au 0.7500 0.7500 0.7500
18 Au 0.9125 0.9125 0.5875

Most intense lines, 2θ = 15–90°, by angle:
- 30.23 deg, rel. 36.2
- 31.47 deg, rel. 20.4
- 32.60 deg, rel. 28.1
- 33.83 deg, rel. 30.5
- 34.98 deg, rel. 40.8
- 35.50 deg, rel. 30.6
- 36.85 deg, rel. 32.4
- 39.54 deg, rel. 56.9
- 39.70 deg, rel. 100.0
- 62.50 deg, rel. 25.7



[4]
Diffraction record for TbZrNO. The powder diffractogram is calculated, not measured: it uses a structure optimized by DFT (GGA-PBE) and Cu Kα (weighted mean of Kα1 and Kα2).

a = 4.7072 Å, b = 3.8794 Å, c = 6.7249 Å
α = 90.00°, β = 90.00°, γ = 90.00°
Atoms (fractional coordinates):
1 Tb 0.2500 0.0000 0.1618
2 Tb 0.7500 0.0000 0.8382
3 Zr 0.2500 0.5000 0.6643
4 Zr 0.7500 0.5000 0.3357
5 N 0.2500 0.5000 0.3523
6 N 0.7500 0.5000 0.6477
7 O 0.2500 0.0000 0.8087
8 O 0.7500 0.0000 0.1913

Most intense lines, 2θ = 15–90°, by angle:
- 26.52 deg, rel. 47.6
- 32.74 deg, rel. 100.0
- 38.24 deg, rel. 23.5
- 46.82 deg, rel. 38.2
- 47.14 deg, rel. 19.0
- 58.30 deg, rel. 20.3
- 61.98 deg, rel. 31.9
- 65.67 deg, rel. 14.1
- 77.89 deg, rel. 17.8
- 84.47 deg, rel. 7.3